(1)
The following is a theoretical powder XRD pattern of SrH16O10. It was derived from a crystal structure in the Materials Project, relaxed with PBE, using Cu Kα X-rays.

Cell and atoms:
Unit cell a=5.978 b=6.509 c=6.710 alpha=89.64 beta=89.60 gamma=89.60
Space group P1 (No. 1)
Unique sites:
Sr: 0.000 0.000 0.000 (multiplicity 1)
H: 0.286 0.909 0.670 (multiplicity 1)
H: 0.289 0.314 0.653 (multiplicity 1)
H: 0.289 0.683 0.339 (multiplicity 1)
H: 0.300 0.076 0.296 (multiplicity 1)
H: 0.307 0.663 0.651 (multiplicity 1)
H: 0.319 0.322 0.323 (multiplicity 1)
H: 0.410 0.209 0.825 (multiplicity 1)
H: 0.443 0.799 0.197 (multiplicity 1)
H: 0.569 0.780 0.807 (multiplicity 1)
H: 0.593 0.206 0.184 (multiplicity 1)
H: 0.706 0.641 0.313 (multiplicity 1)
H: 0.709 0.318 0.658 (multiplicity 1)
H: 0.714 0.074 0.667 (multiplicity 1)
H: 0.726 0.663 0.668 (multiplicity 1)
H: 0.738 0.637 0.074 (multiplicity 1)
H: 0.743 0.324 0.326 (multiplicity 1)
O: 0.263 0.205 0.760 (multiplicity 1)
O: 0.277 0.782 0.748 (multiplicity 1)
O: 0.285 0.804 0.245 (multiplicity 1)
O: 0.296 0.207 0.222 (multiplicity 1)
O: 0.385 0.491 0.493 (multiplicity 1)
O: 0.638 0.498 0.497 (multiplicity 1)
O: 0.731 0.731 0.187 (multiplicity 1)
O: 0.733 0.195 0.751 (multiplicity 1)
O: 0.733 0.763 0.783 (multiplicity 1)
O: 0.754 0.225 0.212 (multiplicity 1)

Top 10 peaks for 10 to 90 degrees two-theta, by angle:
(0 0 1), d 6.710, 13.20°, I 57.4; (0 1 0), d 6.509, 13.60°, I 77.2; (0 1 1), d 4.686, 18.94°, I 94.8; (0 1 -1), d 4.658, 19.06°, I 100.0; (1 0 1), d 4.479, 19.82°, I 66.7; (1 0 -1), d 4.448, 19.96°, I 67.1; (1 1 0), d 4.418, 20.10°, I 61.1; (1 -1 0), d 4.387, 20.24°, I 63.1; (-1 1 2), d 2.663, 33.65°, I 61.0; (-1 2 1), d 2.625, 34.16°, I 56.2



(2)
The following is a theoretical powder XRD pattern of SrH16O10. It was derived from a crystal structure in the Materials Project, relaxed with PBE, using Cu Kα X-rays.

Cell and atoms:
Unit cell a=8.992 b=9.077 c=6.595 alpha=90.00 beta=92.90 gamma=90.00
Space group C2 (No. 5)
Unique sites:
Sr: 0.000 0.000 0.000 (multiplicity 2)
H: 0.001 0.338 0.699 (multiplicity 4)
H: 0.002 0.684 0.693 (multiplicity 4)
H: 0.097 0.191 0.309 (multiplicity 4)
H: 0.101 0.829 0.681 (multiplicity 4)
H: 0.165 0.521 0.692 (multiplicity 4)
H: 0.173 0.113 0.696 (multiplicity 4)
H: 0.176 0.518 0.306 (multiplicity 4)
H: 0.184 0.955 0.377 (multiplicity 4)
O: 0.001 0.231 0.257 (multiplicity 4)
O: 0.003 0.512 0.386 (multiplicity 4)
O: 0.011 0.791 0.739 (multiplicity 4)
O: 0.218 0.018 0.737 (multiplicity 4)
O: 0.222 0.022 0.276 (multiplicity 4)

Top 10 peaks for 10 to 90 degrees two-theta, by angle:
(1 1 0), d 6.384, 13.87°, I 60.7; (1 1 -1), d 4.669, 19.01°, I 62.6; (0 2 0), d 4.538, 19.56°, I 40.3; (2 0 0), d 4.499, 19.73°, I 100.0; (1 3 -1), d 2.645, 33.90°, I 16.0; (3 1 1), d 2.566, 34.97°, I 16.2; (2 2 -2), d 2.334, 38.57°, I 36.3; (0 4 0), d 2.269, 39.72°, I 19.4; (2 2 2), d 2.252, 40.04°, I 34.9; (4 0 0), d 2.245, 40.16°, I 18.8



(3)
The following is a theoretical powder XRD pattern of SrH4O6. It was derived from a crystal structure in the Materials Project, relaxed with PBE, using Cu Kα X-rays.

Cell and atoms:
Unit cell a=8.448 b=5.853 c=9.388 alpha=90.00 beta=106.95 gamma=90.00
Space group Cc (No. 9)
Unique sites:
Sr: 0.000 0.115 0.000 (multiplicity 4)
H: 0.080 0.276 0.726 (multiplicity 4)
H: 0.157 0.145 0.352 (multiplicity 4)
H: 0.235 0.411 0.624 (multiplicity 4)
H: 0.260 0.158 0.796 (multiplicity 4)
O: 0.142 0.123 0.754 (multiplicity 4)
O: 0.174 0.240 0.441 (multiplicity 4)
O: 0.300 0.307 0.051 (multiplicity 4)
O: 0.318 0.475 0.174 (multiplicity 4)
O: 0.486 0.068 0.834 (multiplicity 4)
O: 0.492 0.011 0.700 (multiplicity 4)

Top 10 peaks for 10 to 90 degrees two-theta, by angle:
(1 1 0), d 4.740, 18.72°, I 80.4; (0 0 2), d 4.490, 19.77°, I 50.0; (2 0 0), d 4.040, 22.00°, I 68.8; (1 1 -2), d 3.580, 24.87°, I 55.5; (1 1 2), d 3.013, 29.65°, I 100.0; (0 2 1), d 2.782, 32.17°, I 62.7; (1 1 -3), d 2.752, 32.53°, I 74.9; (3 1 -2), d 2.437, 36.89°, I 64.2; (2 2 -1), d 2.395, 37.56°, I 50.9; (2 2 1), d 2.201, 41.01°, I 71.6



(4)
The following is a theoretical powder XRD pattern of SrH16O10. It was derived from a crystal structure in the Materials Project, relaxed with PBE, using Cu Kα X-rays.

Cell and atoms:
Unit cell a=8.836 b=9.377 c=11.479 alpha=90.00 beta=90.41 gamma=90.00
Space group Cc (No. 9)
Unique sites:
Sr: 0.000 0.001 0.000 (multiplicity 4)
H: 0.043 0.327 0.100 (multiplicity 4)
H: 0.057 0.329 0.388 (multiplicity 4)
H: 0.083 0.225 0.281 (multiplicity 4)
H: 0.158 0.450 0.890 (multiplicity 4)
H: 0.167 0.450 0.595 (multiplicity 4)
H: 0.195 0.174 0.849 (multiplicity 4)
H: 0.200 0.247 0.117 (multiplicity 4)
H: 0.225 0.069 0.702 (multiplicity 4)
H: 0.274 0.415 0.703 (multiplicity 4)
H: 0.285 0.325 0.899 (multiplicity 4)
H: 0.303 0.260 0.372 (multiplicity 4)
H: 0.329 0.049 0.591 (multiplicity 4)
H: 0.330 0.058 0.884 (multiplicity 4)
H: 0.415 0.272 0.193 (multiplicity 4)
H: 0.439 0.165 0.086 (multiplicity 4)
H: 0.446 0.165 0.387 (multiplicity 4)
O: 0.088 0.232 0.123 (multiplicity 4)
O: 0.093 0.230 0.368 (multiplicity 4)
O: 0.218 0.073 0.859 (multiplicity 4)
O: 0.224 0.078 0.616 (multiplicity 4)
O: 0.265 0.418 0.864 (multiplicity 4)
O: 0.275 0.431 0.618 (multiplicity 4)
O: 0.396 0.263 0.108 (multiplicity 4)
O: 0.414 0.265 0.364 (multiplicity 4)
O: 0.494 0.007 0.052 (multiplicity 4)
O: 0.495 0.006 0.921 (multiplicity 4)

Top 10 peaks for 10 to 90 degrees two-theta, by angle:
(1 1 0), d 6.430, 13.77°, I 82.2; (0 0 2), d 5.739, 15.44°, I 100.0; (0 2 0), d 4.688, 18.93°, I 42.6; (0 2 2), d 3.631, 24.52°, I 71.9; (2 0 2), d 3.489, 25.53°, I 37.6; (1 3 -1), d 2.854, 31.34°, I 40.9; (2 2 -2), d 2.811, 31.83°, I 39.5; (2 2 2), d 2.799, 31.98°, I 38.4; (1 1 -4), d 2.623, 34.18°, I 39.2; (2 4 0), d 2.070, 43.73°, I 37.7